1.
This entry pairs a crystal structure of CaMg5Au6 with its calculated X-ray diffraction stick pattern. Radiation: copper Kα. Structure: the PBE geometry in Alexandria.
Lines closer than 0.1° are merged.

a = 4.743 Å, b = 6.824 Å, c = 7.436 Å
α = 90.00°, β = 107.78°, γ = 90.00°
Fractional coordinates of all 12 atoms:
Ca 0.000 0.000 0.000
Mg 0.000 0.500 0.000
Mg 0.332 0.000 0.661
Mg 0.335 0.500 0.674
Mg 0.665 0.500 0.326
Mg 0.668 0.000 0.339
Au 0.174 0.262 0.347
Au 0.174 0.738 0.347
Au 0.500 0.267 0.000
Au 0.500 0.733 0.000
Au 0.826 0.262 0.653
Au 0.826 0.738 0.653

Largest 10 diffraction maxima, by angle, 2θ = 15–90°:
2theta  I_rel
26.1  70.2
26.5  69.6
26.8  67.4
37.5  100.0
37.8  98.1
37.9  50.3
38.1  47.7
46.6  30.9
46.8  29.1
68.1  17.6

2.
This entry pairs a crystal structure of CaTbMgAu with its calculated X-ray diffraction stick pattern. Radiation: copper Kα. Structure: the PBE geometry in Alexandria.
Lines closer than 0.1° are merged.

a = 5.240 Å, b = 5.240 Å, c = 5.240 Å
α = 60.00°, β = 60.00°, γ = 60.00°
Fractional coordinates of all 4 atoms:
Ca 0.000 0.000 0.000
Tb 0.500 0.500 0.500
Mg 0.250 0.250 0.250
Au 0.750 0.750 0.750

Largest 10 diffraction maxima, by angle, 2θ = 15–90°:
2theta  I_rel
20.8  53.7
34.2  100.0
40.4  30.8
49.2  17.9
53.9  13.6
61.3  36.9
65.4  10.3
72.1  11.4
76.0  10.3
82.3  16.2